1.
Computed PXRD pattern
Compound: TcIr5
Radiation: Cu Ka
Structure: a cell relaxed with GGA-PBE
Intensities are scaled so that the largest is 100.

Most intense lines, 2θ from 10° to 90°, low angle first:
2θ/deg	I_rel	hkl
37.67	25	1 1 0
40.95	26	0 0 6
43.09	100	1 1 3
56.85	15	1 1 6
68.01	17	3 0 0
76.06	19	1 1 9
80.45	3	2 2 0
82.54	21	3 0 6
83.98	15	2 2 3
88.78	3	0 0 12

a b c (Å): 4.7752 4.7752 13.2240
angles (deg): 90.00 90.00 120.00
Space group R32 (No. 155, hexagonal axes)
One atom of each set of equivalent atoms:
Tc (0.0000, 0.0000, 0.0000)
Ir (0.0000, 0.0000, 0.3334)
Ir (0.9996, 0.6663, 0.8333)

***

2.
Computed PXRD pattern
Compound: LaSn4Pd2Ru
Radiation: Cu Ka
Structure: a cell relaxed with GGA-PBE
Intensities are scaled so that the largest is 100.

Most intense lines, 2θ from 10° to 90°, low angle first:
2θ/deg	I_rel	hkl
27.35	17	0 1 5
33.77	88	0 1 8
39.27	100	1 1 0
41.58	31	0 1 11
52.74	25	2 0 8
58.52	11	2 0 11
67.69	24	1 2 8
71.19	18	3 0 0
72.76	12	1 2 11
84.45	12	2 2 0

a b c (Å): 4.5884 4.5884 28.5275
angles (deg): 90.00 90.00 120.00
Space group R-3m (No. 166, hexagonal axes)
One atom of each set of equivalent atoms:
La (0.0000, 0.0000, 0.0000)
Sn (0.0000, 0.0000, 0.1319)
Sn (0.0000, 0.0000, 0.3988)
Pd (0.0000, 0.0000, 0.2354)
Ru (0.0000, 0.0000, 0.5000)

***

3.
Computed PXRD pattern
Compound: Ba2In3Hg9
Radiation: Cu Ka
Structure: a cell relaxed with GGA-PBE
Intensities are scaled so that the largest is 100.

Most intense lines, 2θ from 10° to 90°, low angle first:
2θ/deg	I_rel	hkl
13.79	8	1 1 1
31.14	100	3 1 3
34.23	49	3 3 0
34.28	29	6 0 0
37.94	28	3 3 2
38.84	11	4 2 3
40.62	11	6 2 1
59.38	26	6 4 3
59.46	12	9 1 3
64.93	9	6 2 6

a b c (Å): 15.6865 9.0769 11.1398
angles (deg): 90.00 90.00 90.00
Space group Cmcm (No. 63)
One atom of each set of equivalent atoms:
Ba (0.1614, 0.1736, 0.2500)
In (0.0000, 0.0000, 0.0000)
In (0.1750, 0.5000, 0.0000)
Hg (0.0000, 0.1238, 0.7500)
Hg (0.0000, 0.3329, 0.0567)
Hg (0.0988, 0.4372, 0.7500)
Hg (0.1665, 0.1673, 0.5869)